Diffraction record for K2MnPCO7. The PXRD pattern is simulated, not measured: it uses DFT lattice parameters and positions (GGA+U) and Cu Kα (weighted mean of Kα1 and Kα2).
No peak broadening, texture or thermal motion is included.

Structure:
Lattice parameters (Å, degrees): 5.4169 7.2667 9.5472 90.00 90.81 90.00
Sites, in units of the cell vectors:
K (0.2492, 0.0275, 0.2456)
K (0.2492, 0.4725, 0.2456)
K (0.7508, 0.5275, 0.7544)
K (0.7508, 0.9725, 0.7544)
Mn (0.2794, 0.2500, 0.6380)
Mn (0.7206, 0.7500, 0.3620)
P (0.2227, 0.7500, 0.5742)
P (0.7773, 0.2500, 0.4258)
C (0.2292, 0.2500, 0.8933)
C (0.7708, 0.7500, 0.1067)
O (0.0449, 0.2500, 0.8003)
O (0.0594, 0.2500, 0.4746)
O (0.2022, 0.2500, 0.0222)
O (0.2700, 0.5733, 0.6596)
O (0.2700, 0.9267, 0.6596)
O (0.3844, 0.7500, 0.4386)
O (0.4439, 0.2500, 0.8294)
O (0.5561, 0.7500, 0.1706)
O (0.6156, 0.2500, 0.5614)
O (0.7300, 0.0733, 0.3404)
O (0.7300, 0.4267, 0.3404)
O (0.7978, 0.7500, 0.9778)
O (0.9406, 0.7500, 0.5254)
O (0.9551, 0.7500, 0.1997)

The 10 most intense peaks (10° ≤ 2θ ≤ 80°), sorted by position:
h k l	2θ/deg	I (rel.)
0 1 1	15.3	36
0 0 2	18.6	24
1 1 0	20.5	32
0 2 0	24.5	25
1 0 -2	24.7	33
1 2 -1	31.0	100
1 2 1	31.2	52
1 0 -3	32.4	32
2 0 0	33.1	45
0 3 1	38.3	33